CrW2O8: simulated X-ray powder pattern (copper Kα), based on a PBE+U-relaxed structure.

Structure:
Lattice parameters (Å, degrees): 5.039 5.788 10.460 90.00 118.37 90.00
Space group P2/c (No. 13)
Unique sites:
Cr 0.000 0.148 0.250 (multiplicity 2)
W 0.235 0.332 0.994 (multiplicity 4)
O 0.178 0.392 0.613 (multiplicity 4)
O 0.210 0.159 0.139 (multiplicity 4)
O 0.247 0.097 0.880 (multiplicity 4)
O 0.310 0.388 0.391 (multiplicity 4)

Top 10 peaks for 10 to 80 degrees two-theta, in order of rising 2θ:
Position (°2θ)  intensity  h k l
15.3  39.5  0 1 0
19.3  100.0  0 0 2
23.4  99.5  1 1 -1
24.7  56.3  0 1 2
30.4  82.7  1 1 1
30.6  82.7  1 1 -3
35.8  38.7  1 2 -1
41.0  38.2  1 2 -3
54.2  37.4  2 0 -6
64.1  29.3  3 2 -3